Diffraction record for PmAl2Ge3. The powder XRD pattern is computed, not measured: it uses DFT lattice parameters and positions (GGA-PBE) and Cu Kα.
Lines closer than 0.1° are merged.

Crystal structure
```
data_PmAl2Ge3
_space_group_name_H-M_alt 'P 1'
_space_group_IT_number 1
_space_group_name_Hall 'P 1'
_cell_length_a 4.5941
_cell_length_b 13.2959
_cell_length_c 3.9324
_cell_angle_alpha 90.00
_cell_angle_beta 90.00
_cell_angle_gamma 90.00
loop_
_atom_site_label
_atom_site_type_symbol
_atom_site_fract_x
_atom_site_fract_y
_atom_site_fract_z
Pm1 Pm 0.2500 0.2500 0.0510
Pm2 Pm 0.7500 0.7500 0.9490
Al1 Al 0.2500 0.5754 0.0125
Al2 Al 0.2500 0.9246 0.0125
Al3 Al 0.7500 0.0754 0.9875
Al4 Al 0.7500 0.4246 0.9875
Ge1 Ge 0.2500 0.0674 0.5318
Ge2 Ge 0.2500 0.4326 0.5318
Ge3 Ge 0.2500 0.7500 0.4544
Ge4 Ge 0.7500 0.2500 0.5456
Ge5 Ge 0.7500 0.5674 0.4682
Ge6 Ge 0.7500 0.9326 0.4682
```

Peak list (8 most intense, 2θ from 15° to 90°, sorted by position)
Position (°2θ), d/Å, intensity, hkl
20.45, 4.342, 15, 1 1 0
26.33, 3.385, 12, 0 2 1
30.67, 2.915, 15, 1 1 1
36.26, 2.477, 100, 1 3 1
39.20, 2.298, 29, 2 0 0
40.72, 2.216, 17, 0 6 0
57.81, 1.595, 12, 2 6 0
69.16, 1.358, 15, 3 3 1